AlSCl3O2: simulated X-ray diffraction stick pattern (Cu Kα), based on a cell relaxed with PBE.
No peak broadening, texture or thermal motion is included.

a b c (Å): 6.487 7.788 8.083
angles (deg): 93.41 106.13 109.94
Space group P-1 (No. 2)
Unique sites:
Al1 0.203 0.196 0.345 (multiplicity 2)
S1 0.110 0.236 0.722 (multiplicity 2)
Cl1 0.042 0.321 0.153 (multiplicity 2)
Cl2 0.416 0.202 0.859 (multiplicity 2)
Cl3 0.436 0.723 0.591 (multiplicity 2)
O1 0.077 0.944 0.276 (multiplicity 2)
O2 0.120 0.231 0.537 (multiplicity 2)

Main lines, by angle (10 to 90 degrees two-theta):
- (0 0 1), 11.57 deg, d 7.651, rel. 23
- (1 -1 0), 15.67 deg, d 5.657, rel. 72
- (1 1 0), 23.02 deg, d 3.863, rel. 24
- (1 0 -2), 23.46 deg, d 3.793, rel. 20
- (0 2 0), 24.68 deg, d 3.607, rel. 100
- (-1 1 2), 25.70 deg, d 3.466, rel. 100
- (1 1 -2), 27.38 deg, d 3.257, rel. 36
- (0 2 1), 29.12 deg, d 3.067, rel. 18
- (1 -1 2), 30.44 deg, d 2.937, rel. 19
- (3 -2 1), 48.74 deg, d 1.868, rel. 20